Structure and simulated powder X-ray diffraction pattern of Si2TcSe (a cell relaxed with PBE; Cu Kα (λ = 1.5418 Å)).
Neutral-atom scattering factors, no anomalous dispersion.

Structure:
```
data_Si2TcSe
_space_group_name_H-M_alt 'P 1 2/m 1'
_space_group_IT_number 10
_space_group_name_Hall '-P 2y'
_cell_length_a 2.984
_cell_length_b 3.061
_cell_length_c 7.058
_cell_angle_alpha 90.00
_cell_angle_beta 90.13
_cell_angle_gamma 90.00
loop_
_atom_site_label
_atom_site_type_symbol
_atom_site_fract_x
_atom_site_fract_y
_atom_site_fract_z
Si1 Si 0.000 0.000 0.194
Tc1 Tc 0.500 0.500 0.000
Se1 Se 0.000 0.500 0.500
```

Top 10 peaks for 2θ from 10° to 80°, most intense first:
Position (°2θ)	I/Imax	index
44.29	100.0	1 1 -1
38.95	91.2	0 1 2
32.58	77.2	1 0 1
25.23	53.4	0 0 2
29.17	30.0	0 1 0
60.53	27.8	0 2 0
12.54	27.5	0 0 1
49.26	24.0	1 0 -3
49.38	23.8	1 0 3
70.41	15.9	1 2 1